Entry 1:
The following is a simulated X-ray diffraction stick pattern of MgSO11. It was derived from a cell relaxed with GGA-PBE, using Cu Kα X-rays.

Cell and atoms:
```
data_MgSO11
_chemical_formula_sum 'Mg4 S4 O44'
_space_group_name_H-M_alt 'P 21 21 21'
_space_group_IT_number 19
_cell_length_a 4.650
_cell_length_b 11.765
_cell_length_c 15.837
_cell_angle_alpha 90.00
_cell_angle_beta 90.00
_cell_angle_gamma 90.00
loop_
_space_group_symop_operation_xyz
'x,y,z'
'-x+1/2,-y,z+1/2'
'x+1/2,-y+1/2,-z'
'-x,y+1/2,-z+1/2'
loop_
_atom_site_label
_atom_site_fract_x
_atom_site_fract_y
_atom_site_fract_z
_atom_site_occupancy
Mg1 0.190 0.227 0.105 1
S1 0.105 0.537 0.509 1
O1 0.010 0.451 0.570 1
O2 0.048 0.206 0.344 1
O3 0.053 0.748 0.092 1
O4 0.108 0.696 0.710 1
O5 0.145 0.104 0.025 1
O6 0.156 0.990 0.225 1
O7 0.173 0.205 0.801 1
O8 0.175 0.934 0.705 1
O9 0.201 0.378 0.052 1
O10 0.241 0.520 0.940 1
O11 0.242 0.275 0.867 1
```

Top 10 peaks for 10° ≤ 2θ ≤ 80°, by intensity:
- 2θ = 23.4°, d = 3.796 Å, rel. 1000, hkl 1 1 2
- 2θ = 27.1°, d = 3.284 Å, rel. 753, hkl 0 2 4
- 2θ = 21.3°, d = 4.171 Å, rel. 615, hkl 1 1 1
- 2θ = 18.8°, d = 4.722 Å, rel. 465, hkl 0 2 2
- 2θ = 29.8°, d = 3.001 Å, rel. 462, hkl 1 2 3
- 2θ = 30.4°, d = 2.943 Å, rel. 404, hkl 0 4 0
- 2θ = 11.2°, d = 7.918 Å, rel. 376, hkl 0 0 2
- 2θ = 31.9°, d = 2.804 Å, rel. 282, hkl 1 3 2
- 2θ = 26.6°, d = 3.345 Å, rel. 264, hkl 1 1 3
- 2θ = 33.4°, d = 2.683 Å, rel. 255, hkl 1 2 4

---

Entry 2:
The following is a simulated X-ray diffraction stick pattern of MgSO8. It was derived from a cell relaxed with GGA-PBE, using Cu Kα X-rays.

Cell and atoms:
```
data_MgSO8
_chemical_formula_sum 'Mg4 S4 O32'
_space_group_name_H-M_alt 'C 1 2/c 1'
_space_group_IT_number 15
_cell_length_a 8.978
_cell_length_b 5.768
_cell_length_c 9.286
_cell_angle_alpha 90.00
_cell_angle_beta 94.15
_cell_angle_gamma 90.00
loop_
_space_group_symop_operation_xyz
'x,y,z'
'-x,-y,-z'
'-x,y,-z+1/2'
'x,-y,z+1/2'
'x+1/2,y+1/2,z'
'-x+1/2,-y+1/2,-z'
'-x+1/2,y+1/2,-z+1/2'
'x+1/2,-y+1/2,z+1/2'
loop_
_atom_site_label
_atom_site_fract_x
_atom_site_fract_y
_atom_site_fract_z
_atom_site_occupancy
Mg1 0.250 0.250 0.000 1
S1 0.000 0.015 0.250 1
O1 0.091 0.136 0.852 1
O2 0.097 0.165 0.166 1
O3 0.158 0.400 0.526 1
O4 0.206 0.264 0.621 1
```

Top 10 peaks for 10° ≤ 2θ ≤ 80°, by intensity:
- 2θ = 18.3°, d = 4.849 Å, rel. 1000, hkl 1 1 0
- 2θ = 26.1°, d = 3.417 Å, rel. 820, hkl 1 1 -2
- 2θ = 28.7°, d = 3.108 Å, rel. 689, hkl 2 0 2
- 2θ = 43.6°, d = 2.078 Å, rel. 494, hkl 3 1 -3
- 2θ = 37.1°, d = 2.425 Å, rel. 308, hkl 2 2 0
- 2θ = 27.1°, d = 3.285 Å, rel. 301, hkl 1 1 2
- 2θ = 33.8°, d = 2.651 Å, rel. 257, hkl 3 1 0
- 2θ = 26.7°, d = 3.342 Å, rel. 231, hkl 2 0 -2
- 2θ = 38.0°, d = 2.368 Å, rel. 214, hkl 2 2 -1
- 2θ = 38.8°, d = 2.323 Å, rel. 175, hkl 2 2 1

---

Entry 3:
The following is a simulated X-ray diffraction stick pattern of MgSO9. It was derived from a cell relaxed with GGA-PBE, using Cu Kα X-rays.

Cell and atoms:
```
data_MgSO9
_chemical_formula_sum 'Mg3 S3 O27'
_space_group_name_H-M_alt 'R 3'
_space_group_IT_number 146
_space_group_name_Hall 'R 3'
_cell_length_a 7.8707
_cell_length_b 7.8707
_cell_length_c 8.5437
_cell_angle_alpha 90.00
_cell_angle_beta 90.00
_cell_angle_gamma 120.00
loop_
_atom_site_label
_atom_site_fract_x
_atom_site_fract_y
_atom_site_fract_z
_atom_site_occupancy
Mg1 0.0000 0.0000 0.0000 1
S1 0.0000 0.0000 0.5164 1
O1 0.0973 0.5551 0.4935 1
O2 0.1922 0.4636 0.1802 1
O3 0.1939 0.7687 0.8340 1
```

Top 10 peaks for 10° ≤ 2θ ≤ 80°, by intensity:
- 2θ = 33.6°, d = 2.664 Å, rel. 1000, hkl 2 0 2
- 2θ = 31.4°, d = 2.848 Å, rel. 659, hkl 0 0 3
- 2θ = 28.2°, d = 3.166 Å, rel. 575, hkl 0 2 1
- 2θ = 22.6°, d = 3.935 Å, rel. 564, hkl 1 1 0
- 2θ = 24.6°, d = 3.620 Å, rel. 433, hkl 0 1 2
- 2θ = 53.0°, d = 1.729 Å, rel. 242, hkl 3 1 2
- 2θ = 50.4°, d = 1.810 Å, rel. 223, hkl 0 2 4
- 2θ = 36.4°, d = 2.467 Å, rel. 218, hkl 3 -1 1
- 2θ = 51.5°, d = 1.776 Å, rel. 147, hkl 0 3 3
- 2θ = 72.0°, d = 1.312 Å, rel. 124, hkl 3 3 0